Structure and theoretical powder X-ray diffraction pattern of Mg2MnNF (a crystal structure in Alexandria, relaxed with GGA+U; Cu Kα (λ = 1.5418 Å)).

Structure:
```
data_Mg2MnNF
_chemical_formula_sum 'Mg2 Mn1 N1 F1'
_cell_length_a 4.054
_cell_length_b 4.054
_cell_length_c 4.879
_cell_angle_alpha 90.00
_cell_angle_beta 90.00
_cell_angle_gamma 90.00
_space_group_name_H-M_alt 'P 1'
_space_group_IT_number 1
loop_
_space_group_symop_operation_xyz
'x,y,z'
loop_
_atom_site_label
_atom_site_fract_x
_atom_site_fract_y
_atom_site_fract_z
Mg1 0.000 0.500 0.000
Mg2 0.500 0.000 0.000
Mn1 0.000 0.000 0.500
N1 0.500 0.500 0.500
F1 0.000 0.000 0.000
```

Principal peaks in the range 10° ≤ 2θ ≤ 90°, sorted by position:
| two_theta | I_rel | index |
| --- | --- | --- |
| 21.93 | 71.6 | 1 0 0 |
| 36.35 | 100.0 | 1 1 1 |
| 36.85 | 46.3 | 0 0 2 |
| 43.29 | 22.6 | 1 0 2 |
| 44.71 | 50.7 | 2 0 0 |
| 59.28 | 39.5 | 2 0 2 |
| 65.08 | 14.3 | 2 2 0 |
| 66.05 | 15.5 | 1 1 3 |
| 76.90 | 19.3 | 3 1 1 |
| 77.20 | 16.3 | 2 2 2 |